No. 1
This entry pairs a crystal structure of PuH2Cl with its computed powder XRD pattern. Radiation: Cu Ka. Structure: a crystal structure in Alexandria, relaxed with PBE.

Principal peaks in the range 10° ≤ 2θ ≤ 90°, by angle:
- 2θ 17.35, I = 100.0
- 2θ 22.77, I = 34.4
- 2θ 28.73, I = 83.4
- 2θ 28.98, I = 83.1
- 2θ 29.51, I = 67.2
- 2θ 34.44, I = 37.4
- 2θ 38.00, I = 33.1
- 2θ 38.22, I = 59.2
- 2θ 38.58, I = 30.2
- 2θ 56.71, I = 21.7

Cell and atoms:
```
data_PuH2Cl
_symmetry_space_group_name_H-M 'P 1'
_symmetry_Int_Tables_number 1
_cell_length_a 3.847
_cell_length_b 6.053
_cell_length_c 5.431
_cell_angle_alpha 90.00
_cell_angle_beta 109.76
_cell_angle_gamma 90.00
loop_
_symmetry_equiv_pos_as_xyz
'x,y,z'
loop_
_atom_site_label
_atom_site_type_symbol
_atom_site_fract_x
_atom_site_fract_y
_atom_site_fract_z
Pu1 Pu 0.205 0.250 0.406
Pu2 Pu 0.795 0.750 0.594
H1 H 0.315 0.561 0.637
H2 H 0.315 0.939 0.637
H3 H 0.685 0.061 0.363
H4 H 0.685 0.439 0.363
Cl1 Cl 0.085 0.750 0.153
Cl2 Cl 0.915 0.250 0.847
```

No. 2
This entry pairs a crystal structure of BC11 with its computed powder XRD pattern. Radiation: Cu Ka. Structure: a crystal structure in Alexandria, relaxed with PBE.

Principal peaks in the range 10° ≤ 2θ ≤ 90°, by angle:
- 2θ 16.09, I = 2.1
- 2θ 24.23, I = 0.7
- 2θ 43.48, I = 100.0
- 2θ 48.92, I = 1.1
- 2θ 74.03, I = 25.0
- 2θ 75.22, I = 12.8
- 2θ 81.50, I = 0.9
- 2θ 88.82, I = 7.3

Cell and atoms:
```
data_BC11
_symmetry_space_group_name_H-M 'P 1'
_symmetry_Int_Tables_number 1
_cell_length_a 2.526
_cell_length_b 2.526
_cell_length_c 11.018
_cell_angle_alpha 90.00
_cell_angle_beta 90.00
_cell_angle_gamma 90.00
loop_
_symmetry_equiv_pos_as_xyz
'x,y,z'
loop_
_atom_site_label
_atom_site_type_symbol
_atom_site_fract_x
_atom_site_fract_y
_atom_site_fract_z
B1 B 0.000 0.000 0.000
C1 C 0.000 0.000 0.338
C2 C 0.000 0.000 0.662
C3 C 0.000 0.500 0.096
C4 C 0.000 0.500 0.419
C5 C 0.000 0.500 0.743
C6 C 0.500 0.000 0.257
C7 C 0.500 0.000 0.581
C8 C 0.500 0.000 0.904
C9 C 0.500 0.500 0.174
C10 C 0.500 0.500 0.500
C11 C 0.500 0.500 0.826
```

No. 3
This entry pairs a crystal structure of Cs2K4Pt with its computed powder XRD pattern. Radiation: Cu Ka. Structure: a crystal structure in Alexandria, relaxed with PBE.

Principal peaks in the range 10° ≤ 2θ ≤ 90°, by angle:
- 2θ 11.02, I = 73.1
- 2θ 12.52, I = 90.8
- 2θ 16.32, I = 88.0
- 2θ 19.03, I = 100.0
- 2θ 24.31, I = 48.2
- 2θ 25.57, I = 49.4
- 2θ 27.79, I = 45.5
- 2θ 27.94, I = 75.5
- 2θ 33.45, I = 64.1
- 2θ 38.61, I = 52.7

Cell and atoms:
```
data_Cs2K4Pt
_symmetry_space_group_name_H-M 'P 1'
_symmetry_Int_Tables_number 1
_cell_length_a 10.123
_cell_length_b 10.123
_cell_length_c 8.314
_cell_angle_alpha 104.37
_cell_angle_beta 104.37
_cell_angle_gamma 32.54
loop_
_symmetry_equiv_pos_as_xyz
'x,y,z'
loop_
_atom_site_label
_atom_site_type_symbol
_atom_site_fract_x
_atom_site_fract_y
_atom_site_fract_z
Cs1 Cs 0.186 0.186 0.220
Cs2 Cs 0.814 0.814 0.780
K1 K 0.097 0.097 0.717
K2 K 0.470 0.470 0.775
K3 K 0.530 0.530 0.225
K4 K 0.903 0.903 0.283
Pt1 Pt 0.000 0.000 0.000
```

No. 4
This entry pairs a crystal structure of LiNbSe3 with its computed powder XRD pattern. Radiation: Cu Ka. Structure: a crystal structure in Alexandria, relaxed with PBE.

Principal peaks in the range 10° ≤ 2θ ≤ 90°, by angle:
- 2θ 14.14, I = 100.0
- 2θ 22.21, I = 14.3
- 2θ 26.46, I = 46.8
- 2θ 28.45, I = 32.1
- 2θ 33.44, I = 18.2
- 2θ 44.51, I = 42.0
- 2θ 45.32, I = 8.3
- 2θ 47.72, I = 8.7
- 2θ 54.38, I = 10.1
- 2θ 57.69, I = 8.8

Cell and atoms:
```
data_LiNbSe3
_symmetry_space_group_name_H-M 'P 1'
_symmetry_Int_Tables_number 1
_cell_length_a 4.002
_cell_length_b 7.216
_cell_length_c 7.216
_cell_angle_alpha 60.42
_cell_angle_beta 90.00
_cell_angle_gamma 90.00
loop_
_symmetry_equiv_pos_as_xyz
'x,y,z'
loop_
_atom_site_label
_atom_site_type_symbol
_atom_site_fract_x
_atom_site_fract_y
_atom_site_fract_z
Li1 Li 0.000 0.000 0.000
Nb1 Nb 0.500 0.581 0.581
Se1 Se 0.000 0.701 0.701
Se2 Se 0.500 0.206 0.726
Se3 Se 0.500 0.726 0.206
```

No. 5
This entry pairs a crystal structure of MgTc2Ru with its computed powder XRD pattern. Radiation: Cu Ka. Structure: a crystal structure in Alexandria, relaxed with PBE.

Principal peaks in the range 10° ≤ 2θ ≤ 90°, by angle:
- 2θ 19.64, I = 8.4
- 2θ 20.90, I = 8.3
- 2θ 39.89, I = 27.8
- 2θ 41.38, I = 100.0
- 2θ 42.54, I = 23.1
- 2θ 59.73, I = 16.5
- 2θ 73.45, I = 17.5
- 2θ 74.66, I = 8.3
- 2θ 77.06, I = 15.3
- 2θ 89.92, I = 10.9

Cell and atoms:
```
data_MgTc2Ru
_symmetry_space_group_name_H-M 'P 1'
_symmetry_Int_Tables_number 1
_cell_length_a 3.076
_cell_length_b 4.250
_cell_length_c 4.520
_cell_angle_alpha 90.00
_cell_angle_beta 90.00
_cell_angle_gamma 90.00
loop_
_symmetry_equiv_pos_as_xyz
'x,y,z'
loop_
_atom_site_label
_atom_site_type_symbol
_atom_site_fract_x
_atom_site_fract_y
_atom_site_fract_z
Mg1 Mg 0.000 0.000 0.000
Tc1 Tc 0.000 0.500 0.500
Tc2 Tc 0.500 0.000 0.500
Ru1 Ru 0.500 0.500 0.000
```

No. 6
This entry pairs a crystal structure of Ba2PIO4 with its computed powder XRD pattern. Radiation: Cu Ka. Structure: a crystal structure in Alexandria, relaxed with PBE.

Principal peaks in the range 10° ≤ 2θ ≤ 90°, by angle:
- 2θ 22.86, I = 42.7
- 2θ 24.77, I = 29.7
- 2θ 25.53, I = 100.0
- 2θ 26.52, I = 19.8
- 2θ 27.42, I = 30.2
- 2θ 28.64, I = 35.5
- 2θ 29.68, I = 23.3
- 2θ 30.78, I = 25.8
- 2θ 34.41, I = 28.5
- 2θ 40.12, I = 35.8

Cell and atoms:
```
data_Ba2PIO4
_symmetry_space_group_name_H-M 'P 1'
_symmetry_Int_Tables_number 1
_cell_length_a 9.768
_cell_length_b 9.390
_cell_length_c 9.017
_cell_angle_alpha 90.00
_cell_angle_beta 112.43
_cell_angle_gamma 90.00
loop_
_symmetry_equiv_pos_as_xyz
'x,y,z'
loop_
_atom_site_label
_atom_site_type_symbol
_atom_site_fract_x
_atom_site_fract_y
_atom_site_fract_z
Ba1 Ba 0.152 0.194 0.041
Ba2 Ba 0.152 0.306 0.541
Ba3 Ba 0.245 0.670 0.954
Ba4 Ba 0.245 0.830 0.454
Ba5 Ba 0.755 0.170 0.546
Ba6 Ba 0.755 0.330 0.046
Ba7 Ba 0.848 0.694 0.459
Ba8 Ba 0.848 0.806 0.959
P1 P 0.040 0.556 0.240
P2 P 0.040 0.944 0.740
P3 P 0.960 0.056 0.260
P4 P 0.960 0.444 0.760
I1 I 0.498 0.091 0.744
I2 I 0.498 0.409 0.244
I3 I 0.502 0.591 0.756
I4 I 0.502 0.909 0.256
O1 O 0.068 0.102 0.710
O2 O 0.068 0.398 0.210
O3 O 0.098 0.583 0.425
O4 O 0.098 0.917 0.925
O5 O 0.118 0.665 0.168
O6 O 0.118 0.835 0.668
O7 O 0.132 0.084 0.333
O8 O 0.132 0.416 0.833
O9 O 0.868 0.584 0.167
O10 O 0.868 0.916 0.667
O11 O 0.882 0.165 0.332
O12 O 0.882 0.335 0.832
O13 O 0.902 0.083 0.075
O14 O 0.902 0.417 0.575
O15 O 0.932 0.602 0.790
O16 O 0.932 0.898 0.290
```

No. 7
This entry pairs a crystal structure of TlCu2I4 with its computed powder XRD pattern. Radiation: Cu Ka. Structure: a crystal structure in Alexandria, relaxed with PBE.

Principal peaks in the range 10° ≤ 2θ ≤ 90°, by angle:
- 2θ 14.70, I = 12.6
- 2θ 18.36, I = 24.1
- 2θ 23.60, I = 100.0
- 2θ 30.47, I = 21.3
- 2θ 33.23, I = 15.5
- 2θ 37.21, I = 43.7
- 2θ 39.55, I = 11.7
- 2θ 42.42, I = 22.3
- 2θ 49.11, I = 26.9
- 2θ 74.17, I = 11.0

Cell and atoms:
```
data_TlCu2I4
_symmetry_space_group_name_H-M 'P 1'
_symmetry_Int_Tables_number 1
_cell_length_a 6.026
_cell_length_b 6.026
_cell_length_c 8.090
_cell_angle_alpha 90.00
_cell_angle_beta 90.00
_cell_angle_gamma 90.00
loop_
_symmetry_equiv_pos_as_xyz
'x,y,z'
loop_
_atom_site_label
_atom_site_type_symbol
_atom_site_fract_x
_atom_site_fract_y
_atom_site_fract_z
Tl1 Tl 0.000 0.000 0.000
Cu1 Cu 0.000 0.500 0.500
Cu2 Cu 0.500 0.000 0.500
I1 I 0.259 0.259 0.314
I2 I 0.259 0.741 0.686
I3 I 0.741 0.259 0.686
I4 I 0.741 0.741 0.314
```

No. 8
This entry pairs a crystal structure of CeMgBe2Ge2 with its computed powder XRD pattern. Radiation: Cu Ka. Structure: a crystal structure in Alexandria, relaxed with PBE.

Principal peaks in the range 10° ≤ 2θ ≤ 90°, by angle:
- 2θ 11.61, I = 37.2
- 2θ 25.88, I = 12.6
- 2θ 28.45, I = 82.0
- 2θ 35.13, I = 100.0
- 2θ 44.31, I = 19.5
- 2θ 45.64, I = 42.1
- 2θ 54.66, I = 13.3
- 2θ 58.87, I = 22.0
- 2θ 68.18, I = 23.7
- 2θ 77.52, I = 19.5

Cell and atoms:
```
data_CeMgBe2Ge2
_symmetry_space_group_name_H-M 'P 1'
_symmetry_Int_Tables_number 1
_cell_length_a 3.975
_cell_length_b 3.975
_cell_length_c 7.621
_cell_angle_alpha 90.00
_cell_angle_beta 90.00
_cell_angle_gamma 120.00
loop_
_symmetry_equiv_pos_as_xyz
'x,y,z'
loop_
_atom_site_label
_atom_site_type_symbol
_atom_site_fract_x
_atom_site_fract_y
_atom_site_fract_z
Ce1 Ce 0.000 0.000 0.000
Mg1 Mg 0.000 0.000 0.500
Be1 Be 0.333 0.667 0.737
Be2 Be 0.667 0.333 0.263
Ge1 Ge 0.333 0.667 0.262
Ge2 Ge 0.667 0.333 0.738
```

No. 9
This entry pairs a crystal structure of Cs3Hg8Bi with its computed powder XRD pattern. Radiation: Cu Ka. Structure: a crystal structure in Alexandria, relaxed with PBE.

Principal peaks in the range 10° ≤ 2θ ≤ 90°, by angle:
- 2θ 16.05, I = 24.9
- 2θ 30.92, I = 50.0
- 2θ 31.20, I = 100.0
- 2θ 31.76, I = 42.8
- 2θ 32.43, I = 74.7
- 2θ 33.50, I = 25.2
- 2θ 49.53, I = 28.5
- 2θ 49.91, I = 23.0
- 2θ 54.02, I = 34.6
- 2θ 55.44, I = 26.5

Cell and atoms:
```
data_Cs3Hg8Bi
_symmetry_space_group_name_H-M 'P 1'
_symmetry_Int_Tables_number 1
_cell_length_a 11.396
_cell_length_b 11.396
_cell_length_c 11.396
_cell_angle_alpha 34.66
_cell_angle_beta 34.66
_cell_angle_gamma 34.66
loop_
_symmetry_equiv_pos_as_xyz
'x,y,z'
loop_
_atom_site_label
_atom_site_type_symbol
_atom_site_fract_x
_atom_site_fract_y
_atom_site_fract_z
Cs1 Cs 0.000 0.000 0.000
Cs2 Cs 0.128 0.128 0.128
Cs3 Cs 0.615 0.615 0.615
Hg1 Hg 0.058 0.058 0.563
Hg2 Hg 0.058 0.563 0.058
Hg3 Hg 0.078 0.560 0.560
Hg4 Hg 0.312 0.312 0.312
Hg5 Hg 0.560 0.078 0.560
Hg6 Hg 0.560 0.560 0.078
Hg7 Hg 0.563 0.058 0.058
Hg8 Hg 0.811 0.811 0.811
Bi1 Bi 0.491 0.491 0.491
```

No. 10
This entry pairs a crystal structure of InNi3H with its computed powder XRD pattern. Radiation: Cu Ka. Structure: a crystal structure in Alexandria, relaxed with PBE.

Principal peaks in the range 10° ≤ 2θ ≤ 90°, by angle:
- 2θ 27.90, I = 12.3
- 2θ 33.51, I = 4.5
- 2θ 38.89, I = 24.2
- 2θ 40.82, I = 28.5
- 2θ 44.15, I = 100.0
- 2θ 57.65, I = 14.6
- 2θ 70.43, I = 15.0
- 2θ 76.64, I = 17.8
- 2θ 84.73, I = 17.8
- 2θ 86.99, I = 12.3

Cell and atoms:
```
data_InNi3H
_symmetry_space_group_name_H-M 'P 1'
_symmetry_Int_Tables_number 1
_cell_length_a 5.348
_cell_length_b 5.348
_cell_length_c 4.421
_cell_angle_alpha 90.00
_cell_angle_beta 90.00
_cell_angle_gamma 120.00
loop_
_symmetry_equiv_pos_as_xyz
'x,y,z'
loop_
_atom_site_label
_atom_site_type_symbol
_atom_site_fract_x
_atom_site_fract_y
_atom_site_fract_z
In1 In 0.000 0.000 0.000
In2 In 0.333 0.667 0.499
Ni1 Ni 0.355 0.178 0.504
Ni2 Ni 0.504 0.009 0.998
Ni3 Ni 0.504 0.496 0.998
Ni4 Ni 0.822 0.178 0.504
Ni5 Ni 0.822 0.645 0.504
Ni6 Ni 0.991 0.496 0.998
H1 H 0.000 0.000 0.496
H2 H 0.667 0.333 0.220
```

No. 11
This entry pairs a crystal structure of Y3SiMo with its computed powder XRD pattern. Radiation: Cu Ka. Structure: a crystal structure in Alexandria, relaxed with PBE.

Principal peaks in the range 10° ≤ 2θ ≤ 90°, by angle:
- 2θ 23.46, I = 3.0
- 2θ 28.84, I = 100.0
- 2θ 33.42, I = 68.9
- 2θ 47.98, I = 48.2
- 2θ 56.95, I = 41.9
- 2θ 59.73, I = 16.4
- 2θ 70.20, I = 7.5
- 2θ 77.60, I = 16.5
- 2θ 80.02, I = 20.8
- 2θ 89.54, I = 16.2

Cell and atoms:
```
data_Y3SiMo
_symmetry_space_group_name_H-M 'P 1'
_symmetry_Int_Tables_number 1
_cell_length_a 5.363
_cell_length_b 5.363
_cell_length_c 5.363
_cell_angle_alpha 90.00
_cell_angle_beta 90.00
_cell_angle_gamma 90.00
loop_
_symmetry_equiv_pos_as_xyz
'x,y,z'
loop_
_atom_site_label
_atom_site_type_symbol
_atom_site_fract_x
_atom_site_fract_y
_atom_site_fract_z
Y1 Y 0.000 0.000 0.500
Y2 Y 0.000 0.500 0.000
Y3 Y 0.500 0.000 0.000
Si1 Si 0.000 0.000 0.000
Mo1 Mo 0.500 0.500 0.500
```

No. 12
This entry pairs a crystal structure of H9PtN2ClO2 with its computed powder XRD pattern. Radiation: Cu Ka. Structure: a crystal structure in Alexandria, relaxed with PBE.

Principal peaks in the range 10° ≤ 2θ ≤ 90°, by angle:
- 2θ 12.05, I = 100.0
- 2θ 12.50, I = 24.4
- 2θ 18.90, I = 45.3
- 2θ 19.44, I = 26.3
- 2θ 21.21, I = 48.2
- 2θ 22.67, I = 27.6
- 2θ 25.33, I = 57.2
- 2θ 25.76, I = 40.6
- 2θ 31.42, I = 38.8
- 2θ 40.41, I = 21.3

Cell and atoms:
```
data_H9PtN2ClO2
_symmetry_space_group_name_H-M 'P 1'
_symmetry_Int_Tables_number 1
_cell_length_a 7.855
_cell_length_b 4.304
_cell_length_c 19.535
_cell_angle_alpha 90.00
_cell_angle_beta 110.81
_cell_angle_gamma 90.00
loop_
_symmetry_equiv_pos_as_xyz
'x,y,z'
loop_
_atom_site_label
_atom_site_type_symbol
_atom_site_fract_x
_atom_site_fract_y
_atom_site_fract_z
H1 H 0.006 0.237 0.238
H2 H 0.006 0.263 0.738
H3 H 0.078 0.009 0.583
H4 H 0.078 0.491 0.083
H5 H 0.184 0.683 0.576
H6 H 0.184 0.817 0.076
H7 H 0.221 0.651 0.158
H8 H 0.221 0.849 0.658
H9 H 0.261 0.240 0.237
H10 H 0.261 0.260 0.737
H11 H 0.266 0.561 0.864
H12 H 0.266 0.939 0.364
H13 H 0.347 0.621 0.336
H14 H 0.347 0.879 0.836
H15 H 0.414 0.708 0.425
H16 H 0.414 0.792 0.925
H17 H 0.473 0.191 0.253
H18 H 0.473 0.309 0.753
H19 H 0.527 0.691 0.247
H20 H 0.527 0.809 0.747
H21 H 0.586 0.208 0.075
H22 H 0.586 0.292 0.575
H23 H 0.653 0.121 0.164
H24 H 0.653 0.379 0.664
H25 H 0.734 0.061 0.636
H26 H 0.734 0.439 0.136
H27 H 0.739 0.740 0.263
H28 H 0.739 0.760 0.763
H29 H 0.779 0.151 0.342
H30 H 0.779 0.349 0.842
H31 H 0.816 0.183 0.924
H32 H 0.816 0.317 0.424
H33 H 0.922 0.509 0.917
H34 H 0.922 0.991 0.417
H35 H 0.994 0.737 0.262
H36 H 0.994 0.763 0.762
Pt1 Pt 0.091 0.043 0.884
Pt2 Pt 0.091 0.457 0.384
Pt3 Pt 0.909 0.543 0.616
Pt4 Pt 0.909 0.957 0.116
N1 N 0.123 0.701 0.108
N2 N 0.123 0.799 0.608
N3 N 0.305 0.711 0.376
N4 N 0.305 0.789 0.876
N5 N 0.695 0.211 0.124
N6 N 0.695 0.289 0.624
N7 N 0.877 0.201 0.392
N8 N 0.877 0.299 0.892
Cl1 Cl 0.263 0.181 0.004
Cl2 Cl 0.263 0.319 0.504
Cl3 Cl 0.737 0.681 0.496
Cl4 Cl 0.737 0.819 0.996
O1 O 0.066 0.065 0.221
O2 O 0.066 0.435 0.721
O3 O 0.383 0.146 0.751
O4 O 0.383 0.354 0.251
O5 O 0.617 0.646 0.749
O6 O 0.617 0.854 0.249
O7 O 0.934 0.565 0.279
O8 O 0.934 0.935 0.779
```

No. 13
This entry pairs a crystal structure of ThIrRh with its computed powder XRD pattern. Radiation: Cu Ka. Structure: a crystal structure in Alexandria, relaxed with PBE.

Principal peaks in the range 10° ≤ 2θ ≤ 90°, by angle:
- 2θ 32.92, I = 39.5
- 2θ 33.09, I = 16.7
- 2θ 38.79, I = 100.0
- 2θ 38.94, I = 32.3
- 2θ 40.55, I = 18.3
- 2θ 40.72, I = 17.2
- 2θ 58.71, I = 14.0
- 2θ 62.62, I = 14.9
- 2θ 62.94, I = 20.9
- 2θ 69.02, I = 29.2

Cell and atoms:
```
data_ThIrRh
_symmetry_space_group_name_H-M 'P 1'
_symmetry_Int_Tables_number 1
_cell_length_a 5.442
_cell_length_b 5.442
_cell_length_c 5.442
_cell_angle_alpha 120.34
_cell_angle_beta 119.95
_cell_angle_gamma 89.76
loop_
_symmetry_equiv_pos_as_xyz
'x,y,z'
loop_
_atom_site_label
_atom_site_type_symbol
_atom_site_fract_x
_atom_site_fract_y
_atom_site_fract_z
Th1 Th 0.376 0.126 0.250
Th2 Th 0.624 0.874 0.750
Ir1 Ir 0.000 0.500 0.500
Ir2 Ir 0.500 0.500 0.000
Rh1 Rh 0.000 0.000 0.500
Rh2 Rh 0.000 0.500 0.000
```